[1]
Theoretical X-ray diffraction stick pattern of Ti5AlAu2 for Cu Ka, from a structure optimized by DFT (GGA-PBE).
Intensities are scaled so that the largest is 100.

```
data_Ti5AlAu2
_chemical_formula_sum 'Ti10 Al2 Au4'
_space_group_name_H-M_alt 'I 4/m m m'
_space_group_IT_number 139
_space_group_name_Hall '-I 4 2'
_cell_length_a 4.0640
_cell_length_b 4.0640
_cell_length_c 16.3201
_cell_angle_alpha 90.00
_cell_angle_beta 90.00
_cell_angle_gamma 90.00
loop_
_atom_site_label
_atom_site_type_symbol
_atom_site_fract_x
_atom_site_fract_y
_atom_site_fract_z
Ti1 Ti 0.0000 0.0000 0.0000
Ti2 Ti 0.0000 0.5000 0.1226
Al1 Al 0.0000 0.0000 0.5000
Au1 Au 0.0000 0.0000 0.2589
```

Top 12 peaks for 2θ from 10° to 90°, by intensity:
(0 0 2), d = 8.160 Å, I 100
(1 1 4), d = 2.349 Å, I 96
(1 1 2), d = 2.711 Å, I 36
(2 0 0), d = 2.032 Å, I 32
(2 0 2), d = 1.973 Å, I 25
(3 1 4), d = 1.226 Å, I 23
(2 0 8), d = 1.440 Å, I 18
(0 0 4), d = 4.080 Å, I 17
(1 1 0), d = 2.874 Å, I 15
(0 0 8), d = 2.040 Å, I 14
(3 1 2), d = 1.270 Å, I 11
(2 2 0), d = 1.437 Å, I 10

[2]
Theoretical X-ray diffraction stick pattern of Pr3Er2Tm3 for Cu Ka, from a structure optimized by DFT (GGA-PBE).
Intensities are scaled so that the largest is 100.

```
data_Pr3Er2Tm3
_chemical_formula_sum 'Pr12 Er8 Tm12'
_space_group_name_H-M_alt 'C m c m'
_space_group_IT_number 63
_space_group_name_Hall '-C 2c 2'
_cell_length_a 5.5024
_cell_length_b 11.7830
_cell_length_c 16.4233
_cell_angle_alpha 90.00
_cell_angle_beta 90.00
_cell_angle_gamma 90.00
loop_
_atom_site_label
_atom_site_type_symbol
_atom_site_fract_x
_atom_site_fract_y
_atom_site_fract_z
Pr1 Pr 0.0000 0.0352 0.2500
Pr2 Pr 0.0000 0.1193 0.5509
Er1 Er 0.0000 0.2734 0.1356
Tm1 Tm 0.0000 0.2437 0.7500
Tm2 Tm 0.0000 0.4242 0.5899
```

Top 12 peaks for 2θ from 10° to 90°, by intensity:
(1 3 3), d = 2.761 Å, I 100
(1 1 5), d = 2.742 Å, I 62
(2 0 0), d = 2.751 Å, I 45
(1 1 4), d = 3.169 Å, I 33
(3 3 3), d = 1.590 Å, I 21
(0 4 2), d = 2.773 Å, I 19
(2 4 8), d = 1.437 Å, I 15
(3 1 5), d = 1.586 Å, I 14
(2 4 2), d = 1.953 Å, I 14
(0 4 8), d = 1.685 Å, I 13
(0 4 1), d = 2.899 Å, I 12
(1 3 2), d = 2.979 Å, I 11

[3]
Theoretical X-ray diffraction stick pattern of Hf2ZnSn for Cu Ka, from a structure optimized by DFT (GGA-PBE).
Intensities are scaled so that the largest is 100.

```
data_Hf2ZnSn
_chemical_formula_sum 'Hf2 Zn1 Sn1'
_space_group_name_H-M_alt 'P 4/m m m'
_space_group_IT_number 123
_space_group_name_Hall '-P 4 2'
_cell_length_a 4.3081
_cell_length_b 4.3081
_cell_length_c 4.2989
_cell_angle_alpha 90.00
_cell_angle_beta 90.00
_cell_angle_gamma 90.00
loop_
_atom_site_label
_atom_site_type_symbol
_atom_site_fract_x
_atom_site_fract_y
_atom_site_fract_z
Hf1 Hf 0.0000 0.5000 0.0000
Zn1 Zn 0.0000 0.0000 0.5000
Sn1 Sn 0.5000 0.5000 0.5000
```

Top 12 peaks for 2θ from 10° to 90°, by intensity:
(1 1 1), d = 2.486 Å, I 100
(2 0 0), d = 2.153 Å, I 50
(2 2 0), d = 1.522 Å, I 33
(3 1 1), d = 1.299 Å, I 26
(1 1 3), d = 1.297 Å, I 13
(2 2 2), d = 1.243 Å, I 11
(0 0 1), d = 4.300 Å, I 10
(1 1 0), d = 3.046 Å, I 9
(2 0 1), d = 1.926 Å, I 5
(1 1 2), d = 1.757 Å, I 4
(2 2 1), d = 1.436 Å, I 2
(3 1 2), d = 1.151 Å, I 2

[4]
Theoretical X-ray diffraction stick pattern of Pr2CuPt for Cu Ka, from a structure optimized by DFT (GGA-PBE).
Intensities are scaled so that the largest is 100.

```
data_Pr2CuPt
_chemical_formula_sum 'Pr4 Cu2 Pt2'
_space_group_name_H-M_alt 'P 1 21/m 1'
_space_group_IT_number 11
_cell_length_a 5.7953
_cell_length_b 4.5982
_cell_length_c 7.9019
_cell_angle_alpha 90.00
_cell_angle_beta 109.86
_cell_angle_gamma 90.00
loop_
_space_group_symop_operation_xyz
'x,y,z'
'-x,-y,-z'
'-x,y+1/2,-z'
'x,-y+1/2,z'
loop_
_atom_site_label
_atom_site_type_symbol
_atom_site_fract_x
_atom_site_fract_y
_atom_site_fract_z
Pr1 Pr 0.2229 0.2500 0.4347
Pr2 Pr 0.2253 0.2500 0.9286
Cu1 Cu 0.3504 0.7500 0.2120
Pt1 Pt 0.3471 0.7500 0.7125
```

Top 12 peaks for 2θ from 10° to 90°, by intensity:
(1 1 -2), d = 2.890 Å, I 100
(1 1 2), d = 2.313 Å, I 39
(2 1 -2), d = 2.311 Å, I 37
(0 2 0), d = 2.299 Å, I 34
(2 1 0), d = 2.344 Å, I 27
(1 0 2), d = 2.675 Å, I 27
(2 0 0), d = 2.725 Å, I 23
(1 0 -4), d = 1.975 Å, I 21
(1 2 -4), d = 1.498 Å, I 18
(1 2 2), d = 1.743 Å, I 15
(3 0 2), d = 1.449 Å, I 15
(3 1 -4), d = 1.511 Å, I 14

[5]
Theoretical X-ray diffraction stick pattern of Ho8Sn2Ir3 for Cu Ka, from a structure optimized by DFT (GGA-PBE).
Intensities are scaled so that the largest is 100.

```
data_Ho8Sn2Ir3
_chemical_formula_sum 'Ho16 Sn4 Ir6'
_space_group_name_H-M_alt 'C 1 2/m 1'
_space_group_IT_number 12
_cell_length_a 16.1189
_cell_length_b 7.5613
_cell_length_c 6.8213
_cell_angle_alpha 90.00
_cell_angle_beta 109.80
_cell_angle_gamma 90.00
loop_
_space_group_symop_operation_xyz
'x,y,z'
'-x,-y,-z'
'-x,y,-z'
'x,-y,z'
'x+1/2,y+1/2,z'
'-x+1/2,-y+1/2,-z'
'-x+1/2,y+1/2,-z'
'x+1/2,-y+1/2,z'
loop_
_atom_site_label
_atom_site_type_symbol
_atom_site_fract_x
_atom_site_fract_y
_atom_site_fract_z
Ho1 Ho 0.0885 0.0000 0.4199
Ho2 Ho 0.1010 0.2489 0.9052
Ho3 Ho 0.1411 0.5000 0.4816
Sn1 Sn 0.2497 0.0000 0.8323
Ir1 Ir 0.0000 0.0000 0.0000
Ir2 Ir 0.0000 0.3014 0.5000
```

Top 12 peaks for 2θ from 10° to 90°, by intensity:
(4 2 -1), d = 2.712 Å, I 100
(2 0 0), d = 7.583 Å, I 60
(0 0 2), d = 3.205 Å, I 52
(2 2 -3), d = 1.946 Å, I 51
(2 0 2), d = 2.650 Å, I 39
(4 2 1), d = 2.284 Å, I 27
(6 2 1), d = 1.849 Å, I 18
(1 1 1), d = 4.341 Å, I 18
(0 4 0), d = 1.890 Å, I 18
(6 0 -4), d = 1.627 Å, I 16
(2 0 -1), d = 6.003 Å, I 15
(7 1 -1), d = 2.203 Å, I 15

[6]
Theoretical X-ray diffraction stick pattern of Na2TlBi6 for Cu Ka, from a structure optimized by DFT (GGA-PBE).
Intensities are scaled so that the largest is 100.

```
data_Na2TlBi6
_chemical_formula_sum 'Na4 Tl2 Bi12'
_space_group_name_H-M_alt 'C 1 2/m 1'
_space_group_IT_number 12
_cell_length_a 8.8708
_cell_length_b 9.9135
_cell_length_c 6.6381
_cell_angle_alpha 90.00
_cell_angle_beta 99.40
_cell_angle_gamma 90.00
loop_
_space_group_symop_operation_xyz
'x,y,z'
'-x,-y,-z'
'-x,y,-z'
'x,-y,z'
'x+1/2,y+1/2,z'
'-x+1/2,-y+1/2,-z'
'-x+1/2,y+1/2,-z'
'x+1/2,-y+1/2,z'
loop_
_atom_site_label
_atom_site_type_symbol
_atom_site_fract_x
_atom_site_fract_y
_atom_site_fract_z
Na1 Na 0.1685 0.0000 0.1687
Tl1 Tl 0.0000 0.5000 0.5000
Bi1 Bi 0.0000 0.3291 0.0000
Bi2 Bi 0.1643 0.1641 0.6713
```

Top 12 peaks for 2θ from 10° to 90°, by intensity:
(2 0 -2), d = 2.858 Å, I 100
(3 1 0), d = 2.798 Å, I 65
(3 3 0), d = 2.186 Å, I 43
(6 0 0), d = 1.458 Å, I 27
(1 1 -1), d = 4.951 Å, I 23
(2 0 1), d = 3.392 Å, I 23
(0 4 3), d = 1.639 Å, I 23
(2 4 1), d = 2.000 Å, I 18
(3 3 -3), d = 1.649 Å, I 13
(1 3 5), d = 1.182 Å, I 10
(2 6 1), d = 1.485 Å, I 9
(2 6 -2), d = 1.430 Å, I 8

[7]
Theoretical X-ray diffraction stick pattern of Zr3Al3Zn for Cu Ka, from a structure optimized by DFT (GGA-PBE).
Intensities are scaled so that the largest is 100.

```
data_Zr3Al3Zn
_chemical_formula_sum 'Zr12 Al12 Zn4'
_space_group_name_H-M_alt 'C 1 2/m 1'
_space_group_IT_number 12
_cell_length_a 10.9483
_cell_length_b 3.4175
_cell_length_c 14.9130
_cell_angle_alpha 90.00
_cell_angle_beta 107.51
_cell_angle_gamma 90.00
loop_
_space_group_symop_operation_xyz
'x,y,z'
'-x,-y,-z'
'-x,y,-z'
'x,-y,z'
'x+1/2,y+1/2,z'
'-x+1/2,-y+1/2,-z'
'-x+1/2,y+1/2,-z'
'x+1/2,-y+1/2,z'
loop_
_atom_site_label
_atom_site_type_symbol
_atom_site_fract_x
_atom_site_fract_y
_atom_site_fract_z
Zr1 Zr 0.0087 0.0000 0.1309
Zr2 Zr 0.1303 0.0000 0.4260
Zr3 Zr 0.2478 0.5000 0.2710
Al1 Al 0.0181 0.5000 0.7219
Al2 Al 0.1029 0.5000 0.5757
Al3 Al 0.1365 0.5000 0.0272
Zn1 Zn 0.2096 0.5000 0.8704
```

Top 12 peaks for 2θ from 10° to 90°, by intensity:
(1 1 3), d = 2.570 Å, I 100
(3 1 -1), d = 2.493 Å, I 85
(1 1 -4), d = 2.518 Å, I 75
(4 0 2), d = 2.243 Å, I 62
(4 0 -5), d = 2.298 Å, I 49
(0 0 7), d = 2.032 Å, I 37
(0 2 0), d = 1.709 Å, I 29
(3 1 -8), d = 1.607 Å, I 25
(2 0 -4), d = 3.463 Å, I 25
(2 0 2), d = 3.709 Å, I 23
(4 2 -5), d = 1.371 Å, I 23
(3 1 5), d = 1.685 Å, I 22

[8]
Theoretical X-ray diffraction stick pattern of AcSm5Dy3 for Cu Ka, from a structure optimized by DFT (GGA-PBE).
Intensities are scaled so that the largest is 100.

```
data_AcSm5Dy3
_chemical_formula_sum 'Ac4 Sm20 Dy12'
_space_group_name_H-M_alt 'C 1 2/c 1'
_space_group_IT_number 15
_cell_length_a 15.3365
_cell_length_b 10.0470
_cell_length_c 9.1238
_cell_angle_alpha 90.00
_cell_angle_beta 119.36
_cell_angle_gamma 90.00
loop_
_space_group_symop_operation_xyz
'x,y,z'
'-x,-y,-z'
'-x,y,-z+1/2'
'x,-y,z+1/2'
'x+1/2,y+1/2,z'
'-x+1/2,-y+1/2,-z'
'-x+1/2,y+1/2,-z+1/2'
'x+1/2,-y+1/2,z+1/2'
loop_
_atom_site_label
_atom_site_type_symbol
_atom_site_fract_x
_atom_site_fract_y
_atom_site_fract_z
Ac1 Ac 0.0000 0.0936 0.2500
Sm1 Sm 0.0000 0.4356 0.2500
Sm2 Sm 0.1674 0.1018 0.0763
Sm3 Sm 0.1744 0.4268 0.0978
Dy1 Dy 0.0838 0.2545 0.6658
Dy2 Dy 0.2500 0.2500 0.5000
```

Top 12 peaks for 2θ from 10° to 90°, by intensity:
(1 3 1), d = 2.891 Å, I 100
(2 0 2), d = 2.856 Å, I 26
(4 2 -2), d = 2.903 Å, I 23
(6 2 0), d = 2.036 Å, I 16
(9 3 -3), d = 1.515 Å, I 15
(3 3 3), d = 1.656 Å, I 14
(6 4 0), d = 1.667 Å, I 10
(4 4 -2), d = 2.052 Å, I 9
(3 5 -3), d = 1.673 Å, I 8
(10 0 -2), d = 1.510 Å, I 8
(11 3 -1), d = 1.212 Å, I 7
(8 0 -4), d = 1.779 Å, I 7

[9]
Theoretical X-ray diffraction stick pattern of Na3MgTl8 for Cu Ka, from a structure optimized by DFT (GGA-PBE).
Intensities are scaled so that the largest is 100.

```
data_Na3MgTl8
_chemical_formula_sum 'Na6 Mg2 Tl16'
_space_group_name_H-M_alt 'I m m 2'
_space_group_IT_number 44
_cell_length_a 5.4136
_cell_length_b 10.8620
_cell_length_c 11.5618
_cell_angle_alpha 90.00
_cell_angle_beta 90.00
_cell_angle_gamma 90.00
loop_
_space_group_symop_operation_xyz
'x,y,z'
'-x,-y,z'
'-x,y,z'
'x,-y,z'
'x+1/2,y+1/2,z+1/2'
'-x+1/2,-y+1/2,z+1/2'
'-x+1/2,y+1/2,z+1/2'
'x+1/2,-y+1/2,z+1/2'
loop_
_atom_site_label
_atom_site_type_symbol
_atom_site_fract_x
_atom_site_fract_y
_atom_site_fract_z
Na1 Na 0.0000 0.0000 0.9999
Na2 Na 0.0000 0.2504 0.5000
Mg1 Mg 0.0000 0.5000 0.0004
Tl1 Tl 0.0000 0.0000 0.3388
Tl2 Tl 0.0000 0.0000 0.6615
Tl3 Tl 0.0000 0.2526 0.1656
Tl4 Tl 0.0000 0.2528 0.8344
Tl5 Tl 0.0000 0.5000 0.3331
Tl6 Tl 0.0000 0.5000 0.6668
```

Top 12 peaks for 2θ from 10° to 90°, by intensity:
(1 2 3), d = 2.718 Å, I 100
(1 2 1), d = 3.639 Å, I 30
(2 0 0), d = 2.707 Å, I 20
(0 0 2), d = 5.781 Å, I 19
(2 0 6), d = 1.571 Å, I 15
(1 6 3), d = 1.568 Å, I 15
(3 2 3), d = 1.565 Å, I 15
(2 4 0), d = 1.917 Å, I 15
(0 8 0), d = 1.359 Å, I 12
(3 6 3), d = 1.213 Å, I 10
(2 0 2), d = 2.455 Å, I 9
(0 4 4), d = 1.980 Å, I 8

[10]
Theoretical X-ray diffraction stick pattern of Ho8AgRu5 for Cu Ka, from a structure optimized by DFT (GGA-PBE).
Intensities are scaled so that the largest is 100.

```
data_Ho8AgRu5
_chemical_formula_sum 'Ho16 Ag2 Ru10'
_space_group_name_H-M_alt 'I -4'
_space_group_IT_number 82
_cell_length_a 8.6180
_cell_length_b 8.6180
_cell_length_c 8.4644
_cell_angle_alpha 90.00
_cell_angle_beta 90.00
_cell_angle_gamma 90.00
loop_
_space_group_symop_operation_xyz
'x,y,z'
'y,-x,-z'
'-x,-y,z'
'-y,x,-z'
'x+1/2,y+1/2,z+1/2'
'y+1/2,-x+1/2,-z+1/2'
'-x+1/2,-y+1/2,z+1/2'
'-y+1/2,x+1/2,-z+1/2'
loop_
_atom_site_label
_atom_site_type_symbol
_atom_site_fract_x
_atom_site_fract_y
_atom_site_fract_z
Ho1 Ho 0.0655 0.1728 0.1934
Ho2 Ho 0.0713 0.3126 0.5777
Ag1 Ag 0.0000 0.5000 0.2500
Ru1 Ru 0.0000 0.0000 0.5000
Ru2 Ru 0.1507 0.2502 0.8892
```

Top 12 peaks for 2θ from 10° to 90°, by intensity:
(3 0 1), d = 2.722 Å, I 100
(1 0 3), d = 2.681 Å, I 46
(3 1 2), d = 2.291 Å, I 36
(2 3 1), d = 2.300 Å, I 33
(1 2 3), d = 2.277 Å, I 22
(4 3 1), d = 1.689 Å, I 21
(2 0 2), d = 3.019 Å, I 18
(4 2 2), d = 1.754 Å, I 14
(1 3 4), d = 1.671 Å, I 13
(3 2 3), d = 1.824 Å, I 9
(6 0 2), d = 1.360 Å, I 9
(6 1 1), d = 1.397 Å, I 8

[11]
Theoretical X-ray diffraction stick pattern of NdY5Sc2 for Cu Ka, from a structure optimized by DFT (GGA-PBE).
Intensities are scaled so that the largest is 100.

```
data_NdY5Sc2
_chemical_formula_sum 'Nd4 Y20 Sc8'
_space_group_name_H-M_alt 'P b a m'
_space_group_IT_number 55
_cell_length_a 11.3392
_cell_length_b 12.1828
_cell_length_c 7.0866
_cell_angle_alpha 90.00
_cell_angle_beta 90.00
_cell_angle_gamma 90.00
loop_
_space_group_symop_operation_xyz
'x,y,z'
'-x,-y,-z'
'-x,-y,z'
'x,y,-z'
'x+1/2,-y+1/2,-z'
'-x+1/2,y+1/2,z'
'-x+1/2,y+1/2,-z'
'x+1/2,-y+1/2,z'
loop_
_atom_site_label
_atom_site_type_symbol
_atom_site_fract_x
_atom_site_fract_y
_atom_site_fract_z
Nd1 Nd 0.2454 0.0790 0.0000
Y1 Y 0.0000 0.2460 0.0000
Y2 Y 0.0000 0.5000 0.2544
Y3 Y 0.0010 0.2450 0.5000
Y4 Y 0.2490 0.8325 0.2550
Sc1 Sc 0.0000 0.0000 0.2582
Sc2 Sc 0.2454 0.0823 0.5000
```

Top 12 peaks for 2θ from 10° to 90°, by intensity:
(2 2 2), d = 2.695 Å, I 100
(4 0 0), d = 2.835 Å, I 52
(1 2 2), d = 2.957 Å, I 49
(2 4 0), d = 2.683 Å, I 44
(6 2 2), d = 1.608 Å, I 30
(4 6 2), d = 1.496 Å, I 28
(1 4 0), d = 2.941 Å, I 27
(3 2 2), d = 2.380 Å, I 27
(0 6 2), d = 1.762 Å, I 25
(3 4 0), d = 2.372 Å, I 14
(4 0 4), d = 1.502 Å, I 14
(0 0 4), d = 1.772 Å, I 14

[12]
Theoretical X-ray diffraction stick pattern of Zr6SnPt for Cu Ka, from a structure optimized by DFT (GGA-PBE).
Intensities are scaled so that the largest is 100.

```
data_Zr6SnPt
_chemical_formula_sum 'Zr18 Sn3 Pt3'
_space_group_name_H-M_alt 'R -3'
_space_group_IT_number 148
_space_group_name_Hall '-R 3'
_cell_length_a 7.8339
_cell_length_b 7.8339
_cell_length_c 9.5926
_cell_angle_alpha 90.00
_cell_angle_beta 90.00
_cell_angle_gamma 120.00
loop_
_atom_site_label
_atom_site_type_symbol
_atom_site_fract_x
_atom_site_fract_y
_atom_site_fract_z
Zr1 Zr 0.0044 0.7514 0.2521
Sn1 Sn 0.0000 0.0000 0.0000
Pt1 Pt 0.0000 0.0000 0.5000
```

Top 12 peaks for 2θ from 10° to 90°, by intensity:
(3 0 0), d = 2.261 Å, I 100
(1 1 3), d = 2.477 Å, I 75
(4 -3 4), d = 1.480 Å, I 53
(2 0 2), d = 2.770 Å, I 44
(3 2 1), d = 1.536 Å, I 16
(4 0 4), d = 1.385 Å, I 16
(4 2 2), d = 1.239 Å, I 15
(6 -1 1), d = 1.209 Å, I 14
(1 5 2), d = 1.181 Å, I 13
(0 1 2), d = 3.917 Å, I 13
(1 0 1), d = 5.539 Å, I 6
(2 1 4), d = 1.752 Å, I 3